The following is a computed powder X-ray diffraction pattern of MgP4H24N8O8. It was derived from a DFT-relaxed cell (PBE, the Materials Project), using Cu Kα (weighted mean of Kα1 and Kα2).
No peak broadening, texture or thermal motion is included.

Principal peaks in the range 2θ = 10–90°, low angle first:
2θ/deg	intensity	index
12.26	100	0 1 0
15.74	49	1 0 1
17.48	38	1 0 -1
17.63	95	0 0 2
20.97	40	1 1 2
26.62	40	0 2 -1

```
data_MgP4H24N8O8
_chemical_formula_sum 'Mg1 P4 H24 N8 O8'
_symmetry_space_group_name_H-M 'P 1'
_symmetry_Int_Tables_number 1
_symmetry_space_group_name_Hall 'P 1'
_cell_length_a 7.003
_cell_length_b 7.996
_cell_length_c 10.184
_cell_angle_alpha 83.91
_cell_angle_beta 81.43
_cell_angle_gamma 64.65
loop_
_atom_site_label
_atom_site_fract_x
_atom_site_fract_y
_atom_site_fract_z
_atom_site_occupancy
Mg1 0.000 0.000 0.000 1
P1 0.091 0.870 0.491 1
P2 0.095 0.146 0.434 1
P3 0.527 0.877 0.840 1
P4 0.545 0.132 0.893 1
H1 0.093 0.341 0.777 1
H2 0.134 0.639 0.041 1
H3 0.206 0.025 0.231 1
H4 0.246 0.815 0.685 1
H5 0.291 0.485 0.917 1
H6 0.345 0.661 0.960 1
H7 0.347 0.176 0.108 1
H8 0.380 0.467 0.062 1
H9 0.389 0.505 0.491 1
H10 0.408 0.280 0.493 1
H11 0.434 0.362 0.632 1
H12 0.439 0.977 0.623 1
H13 0.558 0.726 0.370 1
H14 0.616 0.093 0.111 1
H15 0.629 0.323 0.504 1
H16 0.701 0.849 0.624 1
H17 0.754 0.696 0.241 1
H18 0.783 0.764 0.386 1
H19 0.800 0.545 0.377 1
H20 0.845 0.520 0.802 1
H21 0.873 0.296 0.800 1
H22 0.928 0.396 0.657 1
H23 0.977 0.199 0.228 1
H24 0.981 0.908 0.716 1
N1 0.109 0.824 0.655 1
N2 0.122 0.157 0.265 1
N3 0.287 0.563 0.995 1
N4 0.465 0.368 0.529 1
N5 0.489 0.168 0.057 1
N6 0.554 0.875 0.676 1
N7 0.723 0.683 0.343 1
N8 0.936 0.390 0.758 1
O1 0.297 0.133 0.482 1
O2 0.297 0.905 0.890 1
O3 0.300 0.734 0.419 1
O4 0.374 0.294 0.821 1
O5 0.703 0.706 0.895 1
O6 0.777 0.111 0.857 1
O7 0.882 0.872 0.466 1
O8 0.890 0.315 0.479 1
```